No. 1
This entry pairs a crystal structure of PaTl2VO8 with its simulated powder diffractogram. Radiation: copper Kα. Structure: a cell relaxed with GGA+U.
No peak broadening, texture or thermal motion is included.

Most intense lines, 10 to 90 degrees two-theta, by angle:
index, two_theta, I (rel.)
1 0 1, 22.7, 100.0
1 1 0, 28.7, 98.5
0 1 2, 35.6, 23.2
0 2 1, 36.9, 28.9
1 1 2, 43.0, 40.3
2 1 1, 47.4, 33.6

Cell and atoms:
a = 6.2277 Å, b = 6.2277 Å, c = 5.6982 Å
α = 90.00°, β = 90.00°, γ = 120.00°
Space group P-3m1 (No. 164)
Symmetry-distinct sites (fractional):
1 Pa 0.0000 0.0000 0.0000 x1
2 Tl 0.3333 0.6667 0.5684 x2
3 V 0.0000 0.0000 0.5000 x1
4 O 0.1405 0.2809 0.7180 x6
5 O 0.3333 0.6667 0.2059 x2

No. 2
This entry pairs a crystal structure of VF5 with its simulated powder diffractogram. Radiation: copper Kα. Structure: a cell relaxed with GGA+U.
No peak broadening, texture or thermal motion is included.

Most intense lines, 10 to 90 degrees two-theta, by angle:
index, two_theta, I (rel.)
1 0 0, 17.3, 32.2
1 0 1, 21.9, 100.0
1 1 0, 30.2, 33.7
2 0 0, 35.1, 24.9
1 0 3, 44.5, 21.7
2 1 1, 49.0, 20.9

Cell and atoms:
a = 5.9091 Å, b = 5.9091 Å, c = 6.6571 Å
α = 90.00°, β = 90.00°, γ = 120.00°
Space group P6_3/mmc (No. 194)
Symmetry-distinct sites (fractional):
1 V 0.3333 0.6667 0.2500 x2
2 F 0.1632 0.3263 0.2500 x6
3 F 0.3333 0.6667 0.5190 x4